1.
The following is a simulated XRD peak list of Y5Ru2Au. It was derived from the PBE geometry in Alexandria, using Cu Kα.
Peak positions follow from Bragg's law for the DFT cell and can differ from measured ones.

Largest 10 diffraction maxima, most intense first, 2θ from 15° to 90°:
d = 2.715 Å, 2θ 33.0, intensity 100; d = 2.424 Å, 2θ 37.1, intensity 69; d = 2.517 Å, 2θ 35.7, intensity 39; d = 2.842 Å, 2θ 31.5, intensity 27; d = 2.106 Å, 2θ 42.9, intensity 25; d = 4.208 Å, 2θ 21.1, intensity 25; d = 1.714 Å, 2θ 53.4, intensity 21; d = 1.375 Å, 2θ 68.2, intensity 20; d = 1.355 Å, 2θ 69.3, intensity 17; d = 1.589 Å, 2θ 58.1, intensity 12

Structural model:
Cell lengths 8.599, 8.599, 8.599 Å; angles 127.07, 127.07, 78.14 degrees
Fractional coordinates of all 16 atoms:
Y 0.000 0.000 0.000
Y 0.025 0.525 0.824
Y 0.201 0.025 0.500
Y 0.299 0.799 0.824
Y 0.475 0.299 0.500
Y 0.500 0.500 0.000
Y 0.525 0.701 0.500
Y 0.701 0.201 0.176
Y 0.799 0.975 0.500
Y 0.975 0.475 0.176
Ru 0.139 0.361 0.500
Ru 0.361 0.861 0.222
Ru 0.639 0.139 0.778
Ru 0.861 0.639 0.500
Au 0.250 0.250 0.000
Au 0.750 0.750 0.000

***

2.
The following is a simulated XRD peak list of TbPm4Tm6. It was derived from the PBE geometry in Alexandria, using Cu Kα.
Peak positions follow from Bragg's law for the DFT cell and can differ from measured ones.

Largest 10 diffraction maxima, most intense first, 2θ from 15° to 90°:
d = 2.725 Å, 2θ 32.9, intensity 100; d = 2.814 Å, 2θ 31.8, intensity 99; d = 1.590 Å, 2θ 58.0, intensity 36; d = 1.474 Å, 2θ 63.1, intensity 31; d = 1.958 Å, 2θ 46.4, intensity 29; d = 2.501 Å, 2θ 35.9, intensity 22; d = 3.568 Å, 2θ 25.0, intensity 18; d = 1.573 Å, 2θ 58.7, intensity 17; d = 2.948 Å, 2θ 30.3, intensity 16; d = 2.342 Å, 2θ 38.4, intensity 15

Structural model:
Cell lengths 10.900, 10.900, 3.505 Å; angles 90.00, 90.00, 120.00 degrees
Fractional coordinates of all 11 atoms:
Tb 0.000 0.000 0.000
Pm 0.333 0.667 0.000
Pm 0.395 0.197 0.500
Pm 0.803 0.197 0.500
Pm 0.803 0.605 0.500
Tm 0.008 0.504 0.000
Tm 0.170 0.339 0.500
Tm 0.170 0.830 0.500
Tm 0.496 0.504 0.000
Tm 0.496 0.992 0.000
Tm 0.661 0.830 0.500

***

3.
The following is a simulated XRD peak list of TiV2Ga5. It was derived from the PBE geometry in Alexandria, using Cu Kα.
Peak positions follow from Bragg's law for the DFT cell and can differ from measured ones.

Largest 10 diffraction maxima, most intense first, 2θ from 15° to 90°:
d = 2.274 Å, 2θ 39.6, intensity 100; d = 2.221 Å, 2θ 40.6, intensity 60; d = 1.213 Å, 2θ 78.9, intensity 19; d = 1.323 Å, 2θ 71.3, intensity 11; d = 2.213 Å, 2θ 40.8, intensity 9; d = 1.648 Å, 2θ 55.8, intensity 9; d = 1.571 Å, 2θ 58.8, intensity 8; d = 1.513 Å, 2θ 61.2, intensity 8; d = 2.483 Å, 2θ 36.2, intensity 8; d = 1.677 Å, 2θ 54.7, intensity 7

Structural model:
Cell lengths 7.008, 7.008, 7.008 Å; angles 119.84, 119.84, 90.27 degrees
Fractional coordinates of all 16 atoms:
Ti 0.250 0.250 0.000
Ti 0.750 0.750 0.000
V 0.147 0.647 0.794
V 0.353 0.147 0.500
V 0.647 0.853 0.500
V 0.853 0.353 0.206
Ga 0.000 0.000 0.000
Ga 0.020 0.816 0.500
Ga 0.184 0.684 0.204
Ga 0.316 0.520 0.500
Ga 0.480 0.980 0.796
Ga 0.500 0.500 0.000
Ga 0.520 0.020 0.204
Ga 0.684 0.480 0.500
Ga 0.816 0.316 0.796
Ga 0.980 0.184 0.500

***

4.
The following is a simulated XRD peak list of Ag3TeI2. It was derived from the PBE geometry in Alexandria, using Cu Kα.
Peak positions follow from Bragg's law for the DFT cell and can differ from measured ones.

Largest 10 diffraction maxima, most intense first, 2θ from 15° to 90°:
d = 3.000 Å, 2θ 29.8, intensity 100; d = 2.146 Å, 2θ 42.1, intensity 76; d = 3.070 Å, 2θ 29.1, intensity 54; d = 1.769 Å, 2θ 51.7, intensity 20; d = 1.722 Å, 2θ 53.2, intensity 19; d = 2.165 Å, 2θ 41.7, intensity 19; d = 2.081 Å, 2θ 43.5, intensity 18; d = 1.367 Å, 2θ 68.7, intensity 17; d = 1.348 Å, 2θ 69.8, intensity 16; d = 1.213 Å, 2θ 78.9, intensity 12

Structural model:
Cell lengths 7.481, 7.481, 8.322 Å; angles 106.18, 106.18, 48.46 degrees
Fractional coordinates of all 12 atoms:
Ag 0.001 0.999 0.750
Ag 0.344 0.345 0.922
Ag 0.345 0.344 0.422
Ag 0.655 0.656 0.578
Ag 0.656 0.655 0.078
Ag 0.999 0.001 0.250
Te 0.499 0.501 0.250
Te 0.501 0.499 0.750
I 0.172 0.173 0.586
I 0.173 0.172 0.086
I 0.827 0.828 0.914
I 0.828 0.827 0.414

***

5.
The following is a simulated XRD peak list of Tb3In2Hg8. It was derived from the PBE geometry in Alexandria, using Cu Kα.
Peak positions follow from Bragg's law for the DFT cell and can differ from measured ones.

Largest 10 diffraction maxima, most intense first, 2θ from 15° to 90°:
d = 2.592 Å, 2θ 34.6, intensity 100; d = 2.618 Å, 2θ 34.3, intensity 80; d = 2.503 Å, 2θ 35.9, intensity 50; d = 2.441 Å, 2θ 36.8, intensity 40; d = 1.515 Å, 2θ 61.2, intensity 40; d = 1.658 Å, 2θ 55.4, intensity 40; d = 2.342 Å, 2θ 38.4, intensity 37; d = 2.297 Å, 2θ 39.2, intensity 36; d = 3.030 Å, 2θ 29.5, intensity 29; d = 1.309 Å, 2θ 72.2, intensity 28

Structural model:
Cell lengths 11.615, 11.615, 11.615 Å; angles 30.25, 30.25, 30.25 degrees
Fractional coordinates of all 13 atoms:
Tb 0.000 0.000 0.000
Tb 0.189 0.189 0.189
Tb 0.811 0.811 0.811
In 0.366 0.366 0.366
In 0.634 0.634 0.634
Hg 0.224 0.724 0.724
Hg 0.276 0.276 0.776
Hg 0.276 0.776 0.276
Hg 0.281 0.281 0.281
Hg 0.719 0.719 0.719
Hg 0.724 0.224 0.724
Hg 0.724 0.724 0.224
Hg 0.776 0.276 0.276

***

6.
The following is a simulated XRD peak list of ScCd6In. It was derived from the PBE geometry in Alexandria, using Cu Kα.
Peak positions follow from Bragg's law for the DFT cell and can differ from measured ones.

Largest 10 diffraction maxima, most intense first, 2θ from 15° to 90°:
d = 2.558 Å, 2θ 35.1, intensity 100; d = 2.352 Å, 2θ 38.3, intensity 23; d = 1.394 Å, 2θ 67.1, intensity 15; d = 2.499 Å, 2θ 35.9, intensity 11; d = 2.195 Å, 2θ 41.1, intensity 10; d = 2.207 Å, 2θ 40.9, intensity 9; d = 1.309 Å, 2θ 72.2, intensity 9; d = 3.046 Å, 2θ 29.3, intensity 9; d = 1.576 Å, 2θ 58.6, intensity 9; d = 1.338 Å, 2θ 70.4, intensity 8

Structural model:
Cell lengths 4.704, 6.304, 6.304 Å; angles 75.11, 90.00, 90.00 degrees
Fractional coordinates of all 8 atoms:
Sc 0.000 0.000 0.000
Cd 0.000 0.425 0.425
Cd 0.000 0.509 0.915
Cd 0.000 0.915 0.509
Cd 0.500 0.294 0.719
Cd 0.500 0.719 0.294
Cd 0.500 0.804 0.804
In 0.500 0.219 0.219

***

7.
The following is a simulated XRD peak list of PaS3O12. It was derived from the PBE geometry in Alexandria, using Cu Kα.
Peak positions follow from Bragg's law for the DFT cell and can differ from measured ones.

Largest 10 diffraction maxima, most intense first, 2θ from 15° to 90°:
d = 3.347 Å, 2θ 26.6, intensity 100; d = 2.757 Å, 2θ 32.5, intensity 76; d = 4.613 Å, 2θ 19.2, intensity 73; d = 4.862 Å, 2θ 18.2, intensity 50; d = 1.823 Å, 2θ 50.0, intensity 45; d = 1.967 Å, 2θ 46.2, intensity 39; d = 2.151 Å, 2θ 42.0, intensity 32; d = 1.529 Å, 2θ 60.5, intensity 28; d = 2.807 Å, 2θ 31.9, intensity 23; d = 4.211 Å, 2θ 21.1, intensity 22

Structural model:
Cell lengths 9.725, 9.725, 5.513 Å; angles 90.00, 90.00, 120.00 degrees
Fractional coordinates of all 32 atoms:
Pa 0.333 0.667 0.250
Pa 0.667 0.333 0.750
S 0.095 0.393 0.750
S 0.297 0.905 0.750
S 0.393 0.297 0.250
S 0.607 0.703 0.750
S 0.703 0.095 0.250
S 0.905 0.607 0.250
O 0.078 0.674 0.250
O 0.132 0.858 0.750
O 0.142 0.273 0.750
O 0.162 0.502 0.532
O 0.162 0.502 0.968
O 0.273 0.132 0.250
O 0.326 0.403 0.250
O 0.340 0.838 0.532
O 0.340 0.838 0.968
O 0.403 0.078 0.750
O 0.498 0.660 0.532
O 0.498 0.660 0.968
O 0.502 0.340 0.032
O 0.502 0.340 0.468
O 0.597 0.922 0.250
O 0.660 0.162 0.032
O 0.660 0.162 0.468
O 0.674 0.597 0.750
O 0.727 0.868 0.750
O 0.838 0.498 0.032
O 0.838 0.498 0.468
O 0.858 0.727 0.250
O 0.868 0.142 0.250
O 0.922 0.326 0.750

***

8.
The following is a simulated XRD peak list of AlSBr. It was derived from the PBE geometry in Alexandria, using Cu Kα.
Peak positions follow from Bragg's law for the DFT cell and can differ from measured ones.

Largest 10 diffraction maxima, most intense first, 2θ from 15° to 90°:
d = 2.819 Å, 2θ 31.7, intensity 100; d = 2.308 Å, 2θ 39.0, intensity 54; d = 1.854 Å, 2θ 49.1, intensity 24; d = 1.780 Å, 2θ 51.3, intensity 23; d = 3.083 Å, 2θ 29.0, intensity 16; d = 3.482 Å, 2θ 25.6, intensity 16; d = 1.505 Å, 2θ 61.6, intensity 14; d = 1.149 Å, 2θ 84.3, intensity 12; d = 1.516 Å, 2θ 61.1, intensity 12; d = 1.409 Å, 2θ 66.3, intensity 11

Structural model:
Cell lengths 3.560, 3.560, 6.964 Å; angles 90.00, 90.00, 120.00 degrees
Fractional coordinates of all 3 atoms:
Al 0.000 0.000 0.000
S 0.667 0.333 0.159
Br 0.333 0.667 0.749

***

9.
The following is a simulated XRD peak list of Nd3InRu. It was derived from the PBE geometry in Alexandria, using Cu Kα.
Peak positions follow from Bragg's law for the DFT cell and can differ from measured ones.

Largest 10 diffraction maxima, most intense first, 2θ from 15° to 90°:
d = 2.659 Å, 2θ 33.7, intensity 100; d = 2.945 Å, 2θ 30.3, intensity 73; d = 2.830 Å, 2θ 31.6, intensity 66; d = 2.615 Å, 2θ 34.3, intensity 65; d = 1.656 Å, 2θ 55.5, intensity 50; d = 2.395 Å, 2θ 37.5, intensity 44; d = 3.168 Å, 2θ 28.2, intensity 42; d = 2.317 Å, 2θ 38.9, intensity 33; d = 2.625 Å, 2θ 34.2, intensity 30; d = 2.502 Å, 2θ 35.9, intensity 28

Structural model:
Cell lengths 9.594, 8.863, 6.048 Å; angles 77.56, 64.44, 38.00 degrees
Fractional coordinates of all 10 atoms:
Nd 0.196 0.585 0.415
Nd 0.200 0.200 0.800
Nd 0.415 0.804 0.196
Nd 0.585 0.196 0.804
Nd 0.800 0.800 0.200
Nd 0.804 0.415 0.585
In 0.205 0.795 0.795
In 0.795 0.205 0.205
Ru 0.250 0.250 0.250
Ru 0.750 0.750 0.750

***

10.
The following is a simulated XRD peak list of Zn2TcO4. It was derived from the PBE geometry in Alexandria, using Cu Kα.
Peak positions follow from Bragg's law for the DFT cell and can differ from measured ones.

Largest 10 diffraction maxima, most intense first, 2θ from 15° to 90°:
d = 2.721 Å, 2θ 32.9, intensity 100; d = 4.223 Å, 2θ 21.0, intensity 62; d = 1.662 Å, 2θ 55.3, intensity 30; d = 1.426 Å, 2θ 65.5, intensity 25; d = 2.368 Å, 2θ 38.0, intensity 18; d = 1.674 Å, 2θ 54.8, intensity 15; d = 2.065 Å, 2θ 43.8, intensity 13; d = 1.411 Å, 2θ 66.2, intensity 12; d = 2.600 Å, 2θ 34.5, intensity 11; d = 1.751 Å, 2θ 52.3, intensity 10

Structural model:
Cell lengths 5.744, 5.744, 5.744 Å; angles 131.32, 131.32, 71.31 degrees
Fractional coordinates of all 7 atoms:
Zn 0.250 0.750 0.500
Zn 0.750 0.250 0.500
Tc 0.000 0.000 0.000
O 0.078 0.653 0.000
O 0.347 0.347 0.426
O 0.653 0.078 0.000
O 0.922 0.922 0.574

***

11.
The following is a simulated XRD peak list of Mg5NiAg6. It was derived from the PBE geometry in Alexandria, using Cu Kα.
Peak positions follow from Bragg's law for the DFT cell and can differ from measured ones.

Largest 10 diffraction maxima, most intense first, 2θ from 15° to 90°:
d = 2.325 Å, 2θ 38.7, intensity 100; d = 3.285 Å, 2θ 27.1, intensity 60; d = 2.318 Å, 2θ 38.9, intensity 49; d = 1.343 Å, 2θ 70.1, intensity 19; d = 1.644 Å, 2θ 55.9, intensity 16; d = 1.339 Å, 2θ 70.3, intensity 15; d = 1.898 Å, 2θ 47.9, intensity 12; d = 1.163 Å, 2θ 83.1, intensity 9; d = 1.639 Å, 2θ 56.1, intensity 8; d = 1.341 Å, 2θ 70.2, intensity 7

Structural model:
Cell lengths 8.048, 8.048, 4.649 Å; angles 106.68, 106.68, 120.24 degrees
Fractional coordinates of all 12 atoms:
Mg 0.000 0.000 0.000
Mg 0.166 0.834 0.500
Mg 0.331 0.669 0.000
Mg 0.669 0.331 0.000
Mg 0.834 0.166 0.500
Ni 0.500 0.500 0.500
Ag 0.099 0.419 0.259
Ag 0.265 0.265 0.766
Ag 0.419 0.099 0.259
Ag 0.581 0.901 0.741
Ag 0.735 0.735 0.234
Ag 0.901 0.581 0.741

***

12.
The following is a simulated XRD peak list of Ni2PtSe4. It was derived from the PBE geometry in Alexandria, using Cu Kα.
Peak positions follow from Bragg's law for the DFT cell and can differ from measured ones.

Largest 10 diffraction maxima, most intense first, 2θ from 15° to 90°:
d = 3.083 Å, 2θ 29.0, intensity 100; d = 1.808 Å, 2θ 50.5, intensity 93; d = 3.615 Å, 2θ 24.6, intensity 86; d = 1.968 Å, 2θ 46.1, intensity 58; d = 2.952 Å, 2θ 30.3, intensity 26; d = 2.556 Å, 2θ 35.1, intensity 25; d = 2.346 Å, 2θ 38.4, intensity 25; d = 2.088 Å, 2θ 43.3, intensity 22; d = 1.806 Å, 2θ 50.5, intensity 18; d = 1.366 Å, 2θ 68.7, intensity 16

Structural model:
Cell lengths 7.226, 7.226, 7.231 Å; angles 119.91, 119.91, 59.98 degrees
Fractional coordinates of all 14 atoms:
Ni 0.000 0.000 0.000
Ni 0.000 0.000 0.500
Ni 0.000 0.500 0.000
Ni 0.500 0.000 0.000
Pt 0.375 0.375 0.625
Pt 0.625 0.625 0.375
Se 0.209 0.763 0.236
Se 0.236 0.236 0.209
Se 0.236 0.236 0.763
Se 0.237 0.791 0.764
Se 0.763 0.209 0.236
Se 0.764 0.764 0.237
Se 0.764 0.764 0.791
Se 0.791 0.237 0.764